# 1
The following is a theoretical PXRD pattern of La3SbO3. It was derived from DFT lattice parameters and positions (GGA-PBE), using CuKα.
No peak broadening, texture or thermal motion is included.

Atomic structure:
Lattice parameters (Å, degrees): 7.259 7.259 12.389 117.26 117.26 32.96
Element x y z (fractional)
La 0.120 0.120 0.445
La 0.128 0.128 0.899
La 0.345 0.345 0.793
La 0.655 0.655 0.207
La 0.872 0.872 0.101
La 0.880 0.880 0.555
Sb 0.378 0.378 0.318
Sb 0.622 0.622 0.682
O 0.064 0.064 0.201
O 0.310 0.310 0.589
O 0.338 0.338 0.987
O 0.662 0.662 0.013
O 0.690 0.690 0.411
O 0.936 0.936 0.799

Principal peaks in the range 10 to 80 degrees two-theta, sorted by position:
- 28.8°, rel. 52
- 29.2°, rel. 57
- 29.6°, rel. 100
- 30.1°, rel. 88
- 44.0°, rel. 25
- 53.4°, rel. 22

=====

# 2
The following is a theoretical PXRD pattern of ZrPbN2. It was derived from DFT lattice parameters and positions (GGA-PBE), using CuKα.
No peak broadening, texture or thermal motion is included.

Atomic structure:
Lattice parameters (Å, degrees): 4.078 4.078 8.153 90.00 90.00 90.00
Element x y z (fractional)
Zr 0.250 0.250 0.099
Zr 0.750 0.750 0.901
Pb 0.250 0.250 0.634
Pb 0.750 0.750 0.366
N 0.250 0.250 0.353
N 0.250 0.750 0.000
N 0.750 0.250 0.000
N 0.750 0.750 0.647

Principal peaks in the range 10 to 80 degrees two-theta, sorted by position:
- 24.4°, rel. 11
- 31.0°, rel. 100
- 44.4°, rel. 22
- 55.2°, rel. 40
- 64.6°, rel. 13
- 73.4°, rel. 16

=====

# 3
The following is a theoretical PXRD pattern of Tl4PbSe3. It was derived from DFT lattice parameters and positions (GGA-PBE), using CuKα.
No peak broadening, texture or thermal motion is included.

Atomic structure:
Lattice parameters (Å, degrees): 8.909 8.909 8.909 122.66 122.66 85.45
Element x y z (fractional)
Tl 0.004 0.504 0.198
Tl 0.193 0.996 0.500
Tl 0.307 0.807 0.802
Tl 0.496 0.693 0.500
Tl 0.504 0.307 0.500
Tl 0.693 0.193 0.198
Tl 0.807 0.004 0.500
Tl 0.996 0.496 0.802
Pb 0.000 0.000 0.000
Pb 0.500 0.500 0.000
Se 0.163 0.337 0.500
Se 0.250 0.250 0.000
Se 0.337 0.837 0.174
Se 0.663 0.163 0.826
Se 0.750 0.750 0.000
Se 0.837 0.663 0.500

Principal peaks in the range 10 to 80 degrees two-theta, sorted by position:
- 24.3°, rel. 15
- 31.1°, rel. 100
- 33.1°, rel. 45
- 48.6°, rel. 12
- 54.0°, rel. 13
- 62.2°, rel. 19

=====

# 4
The following is a theoretical PXRD pattern of SbOF6. It was derived from DFT lattice parameters and positions (GGA-PBE), using CuKα.
No peak broadening, texture or thermal motion is included.

Atomic structure:
Lattice parameters (Å, degrees): 8.377 8.377 8.377 109.47 109.47 109.47
Element x y z (fractional)
Sb 0.000 0.000 0.500
Sb 0.000 0.500 0.000
Sb 0.500 0.000 0.000
Sb 0.500 0.500 0.500
O 0.000 0.000 0.000
O 0.000 0.500 0.500
O 0.500 0.000 0.500
O 0.500 0.500 0.000
F 0.015 0.940 0.706
F 0.060 0.294 0.985
F 0.075 0.515 0.809
F 0.191 0.925 0.485
F 0.206 0.266 0.691
F 0.234 0.440 0.425
F 0.266 0.691 0.206
F 0.294 0.985 0.060
F 0.309 0.794 0.734
F 0.425 0.234 0.440
F 0.440 0.425 0.234
F 0.485 0.191 0.925
F 0.515 0.809 0.075
F 0.560 0.575 0.766
F 0.575 0.766 0.560
F 0.691 0.206 0.266
F 0.706 0.015 0.940
F 0.734 0.309 0.794
F 0.766 0.560 0.575
F 0.794 0.734 0.309
F 0.809 0.075 0.515
F 0.925 0.485 0.191
F 0.940 0.706 0.015
F 0.985 0.060 0.294

Principal peaks in the range 10 to 80 degrees two-theta, sorted by position:
- 18.3°, rel. 100
- 26.1°, rel. 100
- 32.1°, rel. 24
- 41.8°, rel. 22
- 46.0°, rel. 47
- 57.1°, rel. 23